Calculated X-ray diffraction stick pattern of Pu2Pa3O9 for a wavelength of 1.5418 Å, from DFT lattice parameters and positions (GGA-PBE).
Peak positions follow from Bragg's law for the DFT cell and can differ from measured ones.

Cell and atoms:
a = 3.855 Å, b = 3.855 Å, c = 27.384 Å
α = 90.00°, β = 90.00°, γ = 90.00°
Space group I-4m2 (No. 119)
Unique sites:
Pu1 0.000 0.000 0.199
Pa1 0.000 0.000 0.000
Pa2 0.000 0.000 0.398
O1 0.000 0.500 0.048
O2 0.000 0.500 0.145
O3 0.000 0.500 0.250
O4 0.000 0.500 0.551
O5 0.000 0.500 0.650

Most intense lines, 5 to 70 degrees two-theta, in order of rising 2θ:
| 2theta | I/Imax |
| --- | --- |
| 28.31 | 100 |
| 32.86 | 26 |
| 47.04 | 32 |
| 47.15 | 16 |
| 55.71 | 16 |
| 55.92 | 31 |